For Er2Co7B3, a structure optimized by DFT (PBE) gives the computed powder X-ray diffraction pattern in this record (Cu Kα (weighted mean of Kα1 and Kα2)).
Neutral-atom scattering factors, no anomalous dispersion.

Top 12 peaks for 10 to 90 degrees two-theta, low angle first:
4.326 Å, 20.53°, intensity 30.5; 2.571 Å, 34.90°, intensity 100.0; 2.497 Å, 35.96°, intensity 26.1; 2.163 Å, 41.76°, intensity 87.6; 1.968 Å, 46.13°, intensity 79.0; 1.456 Å, 63.96°, intensity 34.3; 1.346 Å, 69.88°, intensity 9.3; 1.314 Å, 71.83°, intensity 20.3; 1.285 Å, 73.71°, intensity 14.5; 1.249 Å, 76.25°, intensity 19.4; 1.187 Å, 80.98°, intensity 10.0; 1.123 Å, 86.69°, intensity 15.5

Structure:
abc: 4.9948 4.9948 12.7842
angles: 90.00 90.00 120.00
Fractional coordinates of all 24 atoms:
Er1 0.0000 0.0000 0.0000
Er2 0.0000 0.0000 0.2392
Er3 0.0000 0.0000 0.5000
Er4 0.0000 0.0000 0.7608
Co1 0.0000 0.5000 0.1155
Co2 0.0000 0.5000 0.3452
Co3 0.0000 0.5000 0.6548
Co4 0.0000 0.5000 0.8845
Co5 0.3333 0.6667 0.5000
Co6 0.5000 0.0000 0.1155
Co7 0.5000 0.0000 0.3452
Co8 0.5000 0.0000 0.6548
Co9 0.5000 0.0000 0.8845
Co10 0.5000 0.5000 0.1155
Co11 0.5000 0.5000 0.3452
Co12 0.5000 0.5000 0.6548
Co13 0.5000 0.5000 0.8845
Co14 0.6667 0.3333 0.5000
B1 0.3333 0.6667 0.0000
B2 0.3333 0.6667 0.2316
B3 0.3333 0.6667 0.7684
B4 0.6667 0.3333 0.0000
B5 0.6667 0.3333 0.2316
B6 0.6667 0.3333 0.7684